Structure and theoretical powder diffraction line list of PrMgNi4H4 (the GGA-PBE geometry in OQMD; Cu Kα (weighted mean of Kα1 and Kα2)).
Kinematic intensities with the Lorentz-polarization factor, no thermal factor.

Top 8 peaks for 10° ≤ 2θ ≤ 80°, most intense first:
Position (°2θ), d (Å), I_rel, (hkl)
41.21, 2.191, 100.0, 0 2 2
39.49, 2.282, 64.1, 1 2 1
34.31, 2.614, 44.8, 1 1 2
40.26, 2.240, 41.2, 0 1 3
43.40, 2.085, 40.7, 2 0 2
24.00, 3.708, 39.8, 1 1 0
40.84, 2.210, 30.3, 1 0 3
72.30, 1.307, 25.5, 2 2 4

Atomic structure:
```
data_PrMgNi4H4
_space_group_name_H-M_alt 'P m n 21'
_space_group_IT_number 31
_cell_length_a 5.057
_cell_length_b 5.453
_cell_length_c 7.370
_cell_angle_alpha 90.00
_cell_angle_beta 90.00
_cell_angle_gamma 90.00
loop_
_space_group_symop_operation_xyz
'x,y,z'
'-x+1/2,-y,z+1/2'
'-x,y,z'
'x+1/2,-y,z+1/2'
loop_
_atom_site_label
_atom_site_type_symbol
_atom_site_fract_x
_atom_site_fract_y
_atom_site_fract_z
Pr1 Pr 0.000 0.206 0.000
Mg1 Mg 0.000 0.685 0.223
Ni1 Ni 0.000 0.050 0.622
Ni2 Ni 0.000 0.505 0.602
Ni3 Ni 0.243 0.271 0.379
H1 H 0.000 0.562 0.824
H2 H 0.000 0.780 0.509
H3 H 0.245 0.010 0.257
```